For La2AlRhAu, a DFT-relaxed cell (GGA-PBE, Alexandria) gives the computed powder diffractogram in this record (Cu Kα (λ = 1.5418 Å)).

Crystal structure
a b c (Å): 5.6824 5.6824 4.5703
angles (deg): 90.00 90.00 90.00
Space group P4/mmm (No. 123)
Asymmetric unit:
La 0.0000 0.5000 0.0000 (multiplicity 2)
Al 0.0000 0.0000 0.0000 (multiplicity 1)
Rh 0.5000 0.5000 0.5000 (multiplicity 1)
Au 0.0000 0.0000 0.5000 (multiplicity 1)

Principal peaks in the range 15 to 90 degrees two-theta, by intensity:
2theta, I/Imax, index
29.6, 100, 1 1 1
31.5, 51, 2 0 0
54.9, 35, 3 1 1
51.3, 26, 2 0 2
45.1, 19, 2 2 0
61.5, 15, 2 2 2
39.4, 14, 0 0 2
87.9, 12, 4 2 2
83.1, 11, 3 1 3
65.5, 10, 1 1 3
15.6, 10, 1 0 0
74.7, 9, 4 2 0


For La2SmAl4Au3, a DFT-relaxed cell (GGA-PBE, Alexandria) gives the computed powder diffractogram in this record (Cu Kα (λ = 1.5418 Å)).

Crystal structure
a b c (Å): 4.4353 4.4353 11.7758
angles (deg): 90.00 90.00 90.00
Space group P-4m2 (No. 115)
Asymmetric unit:
La 0.0000 0.5000 0.2301 (multiplicity 2)
Sm 0.0000 0.0000 0.5000 (multiplicity 1)
Al 0.0000 0.0000 0.0000 (multiplicity 1)
Al 0.0000 0.5000 0.6697 (multiplicity 2)
Al 0.5000 0.5000 0.0000 (multiplicity 1)
Au 0.0000 0.5000 0.8830 (multiplicity 2)
Au 0.5000 0.5000 0.5000 (multiplicity 1)

Principal peaks in the range 15 to 90 degrees two-theta, by intensity:
2theta, I/Imax, index
29.5, 100, 1 1 1
32.3, 96, 1 1 2
30.4, 89, 1 0 3
40.7, 76, 2 0 0
22.7, 44, 0 0 3
51.6, 43, 2 1 3
42.1, 36, 1 1 4
25.1, 33, 1 0 2
47.1, 26, 2 0 3
58.9, 26, 2 2 0
55.2, 22, 1 1 6
43.5, 22, 1 0 5


For La2AlSn2Au4, a DFT-relaxed cell (GGA-PBE, Alexandria) gives the computed powder diffractogram in this record (Cu Kα (λ = 1.5418 Å)).

Crystal structure
a b c (Å): 6.6615 6.6615 9.7325
angles (deg): 90.00 90.00 90.00
Space group I4/mmm (No. 139)
Asymmetric unit:
La 0.0000 0.5000 0.2500 (multiplicity 4)
Al 0.0000 0.0000 0.0000 (multiplicity 2)
Sn 0.0000 0.0000 0.3054 (multiplicity 4)
Au 0.2325 0.2325 0.5000 (multiplicity 8)

Principal peaks in the range 15 to 90 degrees two-theta, by intensity:
2theta, I/Imax, index
32.6, 100, 2 0 2
38.2, 38, 2 2 0
65.5, 24, 4 2 2
54.2, 20, 2 2 4
36.9, 16, 0 0 4
55.2, 12, 4 0 0
68.2, 9, 4 0 4
18.2, 9, 0 0 2
63.8, 8, 2 0 6
41.1, 8, 2 1 3
16.1, 7, 1 0 1
89.3, 6, 4 2 6


For LaAlZn2Au, a DFT-relaxed cell (GGA-PBE, Alexandria) gives the computed powder diffractogram in this record (Cu Kα (λ = 1.5418 Å)).

Crystal structure
a b c (Å): 4.3171 4.3347 11.0657
angles (deg): 90.00 90.00 90.00
Space group Imm2 (No. 44)
Asymmetric unit:
La 0.0000 0.0000 0.0000 (multiplicity 2)
Al 0.0000 0.5000 0.7463 (multiplicity 2)
Zn 0.0000 0.0000 0.6145 (multiplicity 2)
Zn 0.0000 0.5000 0.2395 (multiplicity 2)
Au 0.0000 0.0000 0.3790 (multiplicity 2)

Principal peaks in the range 15 to 90 degrees two-theta, by intensity:
2theta, I/Imax, index
31.9, 100, 0 1 3
33.5, 71, 1 1 2
29.2, 57, 1 1 0
46.1, 48, 1 0 5
63.9, 36, 1 2 5
22.1, 31, 1 0 1
41.7, 30, 0 2 0
41.9, 29, 2 0 0
53.5, 27, 2 1 3
44.1, 20, 1 1 4
53.4, 20, 1 2 3
16.0, 20, 0 0 2


For LaAlZnAu2, a DFT-relaxed cell (GGA-PBE, Alexandria) gives the computed powder diffractogram in this record (Cu Kα (λ = 1.5418 Å)).

Crystal structure
a b c (Å): 4.2611 4.2611 11.8004
angles (deg): 90.00 90.00 90.00
Space group I-4m2 (No. 119)
Asymmetric unit:
La 0.0000 0.0000 0.0000 (multiplicity 2)
Al 0.0000 0.5000 0.2500 (multiplicity 2)
Zn 0.0000 0.5000 0.7500 (multiplicity 2)
Au 0.0000 0.0000 0.3809 (multiplicity 4)

Principal peaks in the range 15 to 90 degrees two-theta, by intensity:
2theta, I/Imax, index
30.9, 100, 1 0 3
29.6, 70, 1 1 0
42.4, 57, 2 0 0
43.9, 57, 1 0 5
53.4, 44, 2 1 3
62.7, 39, 2 1 5
33.4, 39, 1 1 2
22.2, 37, 1 0 1
42.9, 35, 1 1 4
61.6, 19, 2 2 0
78.9, 18, 2 0 8
69.8, 13, 3 1 0


For LiAl2Au5, a DFT-relaxed cell (GGA-PBE, Alexandria) gives the computed powder diffractogram in this record (Cu Kα (λ = 1.5418 Å)).

Crystal structure
a b c (Å): 5.5267 10.5088 9.3180
angles (deg): 90.00 95.22 90.00
Space group C2/c (No. 15)
Asymmetric unit:
Li 0.0000 0.0109 0.2500 (multiplicity 4)
Al 0.1501 0.3832 0.4996 (multiplicity 8)
Au 0.0000 0.4923 0.7500 (multiplicity 4)
Au 0.1606 0.1155 0.9969 (multiplicity 8)
Au 0.2464 0.2429 0.7231 (multiplicity 8)

Principal peaks in the range 15 to 90 degrees two-theta, by intensity:
2theta, I/Imax, index
39.4, 100, 0 4 2
38.8, 48, 0 0 4
36.9, 40, 2 2 0
40.4, 34, 2 2 -2
25.4, 32, 1 1 -2
27.6, 27, 1 1 2
43.3, 27, 2 2 2
33.0, 22, 1 1 -3
38.9, 22, 2 2 1
35.6, 22, 1 1 3
31.3, 20, 1 3 -1
30.2, 17, 1 3 0


For Li8AlAu2, a DFT-relaxed cell (GGA-PBE, Alexandria) gives the computed powder diffractogram in this record (Cu Kα (λ = 1.5418 Å)).

Crystal structure
a b c (Å): 14.2446 4.2077 6.3207
angles (deg): 90.00 107.40 90.00
Space group C2/m (No. 12)
Asymmetric unit:
Li 0.0496 0.0000 0.2448 (multiplicity 4)
Li 0.1063 0.5000 0.9656 (multiplicity 4)
Li 0.1455 0.0000 0.7078 (multiplicity 4)
Li 0.1835 0.5000 0.4113 (multiplicity 4)
Al 0.0000 0.5000 0.5000 (multiplicity 2)
Au 0.2238 0.0000 0.1557 (multiplicity 4)

Principal peaks in the range 15 to 90 degrees two-theta, by intensity:
2theta, I/Imax, index
25.5, 100, 1 1 -1
29.7, 63, 3 1 -1
22.4, 54, 2 0 1
38.5, 51, 5 1 -1
38.9, 50, 1 1 2
27.7, 39, 1 1 1
26.2, 35, 4 0 0
43.0, 32, 0 2 0
35.6, 28, 1 1 -2
45.0, 27, 4 0 -3
64.0, 27, 4 2 -3
29.0, 22, 3 1 0


For Li6AlAu6, a DFT-relaxed cell (GGA-PBE, Alexandria) gives the computed powder diffractogram in this record (Cu Kα (λ = 1.5418 Å)).

Crystal structure
a b c (Å): 5.4209 8.8479 9.0296
angles (deg): 90.00 90.00 90.00
Space group Cmmm (No. 65)
Asymmetric unit:
Li 0.0000 0.0000 0.1487 (multiplicity 4)
Li 0.2500 0.2500 0.2711 (multiplicity 8)
Al 0.0000 0.5000 0.5000 (multiplicity 2)
Au 0.0000 0.1549 0.5000 (multiplicity 4)
Au 0.0000 0.2672 0.0000 (multiplicity 4)
Au 0.0000 0.5000 0.2202 (multiplicity 4)

Principal peaks in the range 15 to 90 degrees two-theta, by intensity:
2theta, I/Imax, index
28.2, 100, 0 2 2
27.6, 77, 1 1 2
44.0, 68, 2 2 2
33.0, 67, 2 0 0
36.1, 50, 0 2 3
21.6, 48, 1 1 1
54.5, 44, 2 4 1
46.2, 40, 1 3 3
34.6, 37, 1 3 0
39.9, 35, 0 0 4
52.8, 34, 2 0 4
19.7, 29, 0 0 2


For LiAl3Au, a DFT-relaxed cell (GGA-PBE, Alexandria) gives the computed powder diffractogram in this record (Cu Kα (λ = 1.5418 Å)).

Crystal structure
a b c (Å): 5.3688 5.4063 6.8973
angles (deg): 74.25 67.69 89.16
Space group P-1 (No. 2)
Asymmetric unit:
Li 0.0675 0.2920 0.3642 (multiplicity 2)
Al 0.0959 0.1643 0.8045 (multiplicity 2)
Al 0.3050 0.6198 0.8970 (multiplicity 2)
Al 0.3819 0.8456 0.1985 (multiplicity 2)
Au 0.5000 0.0000 0.5000 (multiplicity 1)
Au 0.5000 0.5000 0.5000 (multiplicity 1)

Principal peaks in the range 15 to 90 degrees two-theta, by intensity:
2theta, I/Imax, index
17.9, 100, 1 0 0
18.2, 97, 1 0 1
41.6, 37, 0 2 -1
38.6, 30, 0 2 2
27.3, 29, 1 0 -1
27.7, 28, 1 0 2
29.2, 21, 0 0 2
46.3, 18, 1 2 3
36.8, 18, 2 0 2
33.4, 18, 2 0 1
40.3, 18, 1 0 -2
39.1, 17, 1 2 2


For Li5AlAu, a DFT-relaxed cell (GGA-PBE, Alexandria) gives the computed powder diffractogram in this record (Cu Kα (λ = 1.5418 Å)).

Crystal structure
a b c (Å): 6.3758 7.8118 9.3830
angles (deg): 90.00 105.01 90.00
Space group C2/c (No. 15)
Asymmetric unit:
Li 0.0000 0.1257 0.2500 (multiplicity 4)
Li 0.1157 0.4594 0.1560 (multiplicity 8)
Li 0.1706 0.1014 0.0362 (multiplicity 8)
Al 0.2500 0.2500 0.5000 (multiplicity 4)
Au 0.0000 0.2290 0.7500 (multiplicity 4)

Principal peaks in the range 15 to 90 degrees two-theta, by intensity:
2theta, I/Imax, index
22.5, 100, 1 1 1
19.0, 93, 1 1 -1
31.6, 47, 1 1 -3
22.8, 47, 0 2 0
19.6, 44, 0 0 2
39.8, 41, 1 3 1
38.5, 29, 2 2 -2
30.2, 29, 0 2 2
30.6, 26, 2 0 -2
44.2, 19, 3 1 -1
29.0, 18, 2 0 0
37.2, 17, 2 2 0


For LiAl2Au4, a DFT-relaxed cell (GGA-PBE, Alexandria) gives the computed powder diffractogram in this record (Cu Kα (λ = 1.5418 Å)).

Crystal structure
a b c (Å): 7.6993 10.0917 13.1291
angles (deg): 90.00 90.00 90.00
Space group F222 (No. 22)
Asymmetric unit:
Li 0.0000 0.0000 0.0000 (multiplicity 4)
Li 0.2500 0.2500 0.2500 (multiplicity 4)
Al 0.1251 0.1246 0.6252 (multiplicity 16)
Au 0.0466 0.1341 0.8236 (multiplicity 16)
Au 0.2033 0.1163 0.4266 (multiplicity 16)

Principal peaks in the range 15 to 90 degrees two-theta, by intensity:
2theta, I/Imax, index
35.6, 100, 0 4 0
25.0, 82, 1 1 3
36.8, 47, 3 1 1
58.5, 47, 4 2 4
26.8, 45, 2 0 2
37.3, 36, 1 1 5
32.3, 32, 2 2 2
45.4, 30, 1 3 5
47.8, 24, 2 0 6
45.1, 24, 2 4 2
61.0, 22, 2 4 6
45.0, 21, 3 3 1


For LiAl2Au6, a DFT-relaxed cell (GGA-PBE, Alexandria) gives the computed powder diffractogram in this record (Cu Kα (λ = 1.5418 Å)).

Crystal structure
a b c (Å): 4.5706 9.4833 13.8073
angles (deg): 90.00 90.00 90.00
Space group Fmmm (No. 69)
Asymmetric unit:
Li 0.0000 0.0000 0.0000 (multiplicity 4)
Al 0.0000 0.0000 0.3399 (multiplicity 8)
Au 0.0000 0.1507 0.1681 (multiplicity 16)
Au 0.0000 0.1544 0.5000 (multiplicity 8)

Principal peaks in the range 15 to 90 degrees two-theta, by intensity:
2theta, I/Imax, index
39.8, 100, 1 3 3
29.1, 62, 1 1 3
39.1, 28, 0 0 6
39.4, 28, 2 0 0
56.8, 19, 2 0 6
71.4, 18, 1 3 9
71.8, 18, 3 3 3
38.0, 15, 0 4 0
18.7, 12, 0 2 0
76.2, 12, 1 7 3
70.3, 10, 2 4 6
55.7, 10, 0 4 6